Starting from a GGA+U-relaxed structure, the X-ray diffraction stick pattern of Co2NiTeO6 was simulated for Cu Kα, 1.54184 Å.
Peak positions follow from Bragg's law for the DFT cell and can differ from measured ones.

Crystal structure
Lattice parameters (Å, degrees): 5.3157 5.3157 5.3157 58.61 58.61 58.61
Sites, in units of the cell vectors:
1 Co 0.0000 0.0000 0.0000
2 Co 0.4985 0.4985 0.4985
3 Ni 0.2940 0.2940 0.2940
4 Te 0.7870 0.7870 0.7870
5 O 0.1469 0.3496 0.7192
6 O 0.2052 0.8685 0.6298
7 O 0.3496 0.7192 0.1469
8 O 0.6298 0.2052 0.8685
9 O 0.7192 0.1469 0.3496
10 O 0.8685 0.6298 0.2052

Main lines, sorted by position (2θ = 5–70°):
2theta	I/Imax
23.9	40
33.7	97
34.5	100
40.3	15
49.0	46
54.7	44
61.3	39
61.8	31